Diffraction record for K3NiAg2F9. The PXRD pattern is theoretical, not measured: it uses a crystal structure in Alexandria, relaxed with PBE+U and a wavelength of 1.5418 Å.
Intensities are scaled so that the largest is 100.

The 10 most intense peaks (2θ = 15–90°), in order of falling intensity:
hkl 1 1 0, d = 3.031 Å, I 100; hkl 1 0 1, d = 4.286 Å, I 51; hkl 2 0 2, d = 2.143 Å, I 49; hkl 3 0 0, d = 1.749 Å, I 28; hkl 2 1 1, d = 1.917 Å, I 22; hkl 2 2 0, d = 1.514 Å, I 14; hkl 0 2 4, d = 1.517 Å, I 14; hkl 1 0 4, d = 1.753 Å, I 10; hkl 4 1 0, d = 1.144 Å, I 9; hkl 2 1 4, d = 1.356 Å, I 8

Crystal structure
a = 6.0540 Å, b = 6.0540 Å, c = 7.4408 Å
α = 90.00°, β = 90.00°, γ = 120.00°
Positions (direct):
K 0.0000 0.0000 0.0000
K 0.3333 0.6667 0.6622
K 0.6667 0.3333 0.3378
Ni 0.0000 0.0000 0.5000
Ag 0.3333 0.6667 0.1762
Ag 0.6667 0.3333 0.8238
F 0.0000 0.5000 0.0000
F 0.1566 0.3133 0.3446
F 0.1566 0.8434 0.3446
F 0.3133 0.1566 0.6554
F 0.5000 0.0000 0.0000
F 0.5000 0.5000 0.0000
F 0.6867 0.8434 0.3446
F 0.8434 0.1566 0.6554
F 0.8434 0.6867 0.6554